This entry pairs a crystal structure of SnIr8 with its simulated PXRD pattern. Radiation: Cu Kα (λ = 1.5418 Å). Structure: a GGA-PBE-relaxed structure.

Cell and atoms:
Unit cell a=4.7168 b=4.7168 c=29.7178 alpha=90.05 beta=90.05 gamma=48.55
Positions (direct):
Sn: 0.0502 0.0502 0.2456
Sn: 0.9498 0.9498 0.7544
Ir: 0.0492 0.0492 0.5439
Ir: 0.1497 0.1497 0.6312
Ir: 0.1517 0.1517 0.3389
Ir: 0.2507 0.2507 0.7179
Ir: 0.2518 0.2518 0.4270
Ir: 0.3499 0.3499 0.5143
Ir: 0.4468 0.4468 0.3116
Ir: 0.4477 0.4477 0.6017
Ir: 0.5523 0.5523 0.3983
Ir: 0.5532 0.5532 0.6884
Ir: 0.6501 0.6501 0.4857
Ir: 0.7482 0.7482 0.5730
Ir: 0.7493 0.7493 0.2821
Ir: 0.8483 0.8483 0.6611
Ir: 0.8503 0.8503 0.3688
Ir: 0.9508 0.9508 0.4561

The 8 most intense peaks (2θ from 5° to 70°), in order of rising 2θ:
two_theta	I/Imax
8.9	60.5
39.6	100.0
40.2	78.4
41.0	63.6
42.1	54.3
46.9	29.4
47.4	27.6
47.8	27.1

---

This entry pairs a crystal structure of Sn7Ir3 with its simulated PXRD pattern. Radiation: Cu Kα (λ = 1.5418 Å). Structure: a GGA-PBE-relaxed structure.

Cell and atoms:
Unit cell a=8.2143 b=8.2143 c=8.2143 alpha=109.47 beta=109.47 gamma=109.47
Positions (direct):
Sn: 0.0000 0.0000 0.3297
Sn: 0.0000 0.0000 0.6703
Sn: 0.0000 0.3297 0.0000
Sn: 0.0000 0.6703 0.0000
Sn: 0.2500 0.5000 0.7500
Sn: 0.2500 0.7500 0.5000
Sn: 0.3297 0.0000 0.0000
Sn: 0.3297 0.3297 0.3297
Sn: 0.5000 0.2500 0.7500
Sn: 0.5000 0.7500 0.2500
Sn: 0.6703 0.0000 0.0000
Sn: 0.6703 0.6703 0.6703
Sn: 0.7500 0.2500 0.5000
Sn: 0.7500 0.5000 0.2500
Ir: 0.0000 0.3423 0.3423
Ir: 0.0000 0.6577 0.6577
Ir: 0.3423 0.0000 0.3423
Ir: 0.3423 0.3423 0.0000
Ir: 0.6577 0.0000 0.6577
Ir: 0.6577 0.6577 0.0000

The 8 most intense peaks (2θ from 5° to 70°), in order of rising 2θ:
two_theta	I/Imax
23.0	29.6
32.7	34.6
35.4	24.9
40.3	100.0
46.9	19.8
58.4	20.4
60.1	9.9
63.6	16.1

---

This entry pairs a crystal structure of SnIr15 with its simulated PXRD pattern. Radiation: Cu Kα (λ = 1.5418 Å). Structure: a GGA-PBE-relaxed structure.

Cell and atoms:
Unit cell a=7.7348 b=2.7465 c=35.7577 alpha=90.00 beta=90.00 gamma=90.00
Positions (direct):
Sn: 0.1251 0.2500 0.2951
Sn: 0.8749 0.7500 0.7049
Ir: 0.1249 0.2500 0.0579
Ir: 0.1250 0.2500 0.1345
Ir: 0.1251 0.2500 0.2112
Ir: 0.1252 0.2500 0.8277
Ir: 0.1254 0.2500 0.9042
Ir: 0.1251 0.2500 0.9809
Ir: 0.1288 0.2500 0.7504
Ir: 0.3750 0.7500 0.0194
Ir: 0.3754 0.7500 0.0958
Ir: 0.3750 0.7500 0.1723
Ir: 0.3749 0.7500 0.7163
Ir: 0.3752 0.7500 0.7909
Ir: 0.3750 0.7500 0.8659
Ir: 0.3749 0.7500 0.9428
Ir: 0.3787 0.7500 0.2497
Ir: 0.6213 0.2500 0.7503
Ir: 0.6251 0.2500 0.0572
Ir: 0.6250 0.2500 0.1341
Ir: 0.6248 0.2500 0.2091
Ir: 0.6251 0.2500 0.2837
Ir: 0.6250 0.2500 0.8277
Ir: 0.6246 0.2500 0.9042
Ir: 0.6250 0.2500 0.9806
Ir: 0.8712 0.7500 0.2496
Ir: 0.8749 0.7500 0.0191
Ir: 0.8746 0.7500 0.0958
Ir: 0.8748 0.7500 0.1723
Ir: 0.8749 0.7500 0.7888
Ir: 0.8750 0.7500 0.8655
Ir: 0.8751 0.7500 0.9421

The 8 most intense peaks (2θ from 5° to 70°), in order of rising 2θ:
two_theta	I/Imax
7.4	13.0
9.9	9.8
40.3	100.0
40.4	25.5
42.4	12.7
46.7	32.4
47.0	16.8
68.4	21.3

---

This entry pairs a crystal structure of SnIr15 with its simulated PXRD pattern. Radiation: Cu Kα (λ = 1.5418 Å). Structure: a GGA-PBE-relaxed structure.

Cell and atoms:
Unit cell a=3.8664 b=3.8662 c=44.4400 alpha=90.00 beta=90.00 gamma=90.00
Positions (direct):
Sn: 0.2500 0.0000 0.1628
Sn: 0.7500 0.0000 0.8372
Ir: 0.2500 0.0000 0.2596
Ir: 0.2500 0.0000 0.3470
Ir: 0.2500 0.0000 0.4343
Ir: 0.2500 0.0000 0.5219
Ir: 0.2500 0.0000 0.6093
Ir: 0.2500 0.0000 0.6968
Ir: 0.2500 0.0000 0.7830
Ir: 0.2500 0.5000 0.2170
Ir: 0.2500 0.5000 0.3032
Ir: 0.2500 0.5000 0.3907
Ir: 0.2500 0.5000 0.4781
Ir: 0.2500 0.5000 0.5656
Ir: 0.2500 0.5000 0.6530
Ir: 0.2500 0.5000 0.7405
Ir: 0.2500 0.5000 0.8264
Ir: 0.7500 0.0000 0.2170
Ir: 0.7500 0.0000 0.3032
Ir: 0.7500 0.0000 0.3907
Ir: 0.7500 0.0000 0.4781
Ir: 0.7500 0.0000 0.5657
Ir: 0.7500 0.0000 0.6530
Ir: 0.7500 0.0000 0.7404
Ir: 0.7500 0.5000 0.1736
Ir: 0.7500 0.5000 0.2595
Ir: 0.7500 0.5000 0.3470
Ir: 0.7500 0.5000 0.4344
Ir: 0.7500 0.5000 0.5219
Ir: 0.7500 0.5000 0.6093
Ir: 0.7500 0.5000 0.6968
Ir: 0.7500 0.5000 0.7830

The 8 most intense peaks (2θ from 5° to 70°), in order of rising 2θ:
two_theta	I/Imax
8.0	8.4
10.0	5.2
39.8	100.0
41.0	71.5
44.9	6.5
47.0	74.1
67.0	8.1
68.7	42.9

---

This entry pairs a crystal structure of Sn8TeIr2 with its simulated PXRD pattern. Radiation: Cu Kα (λ = 1.5418 Å). Structure: a GGA-PBE-relaxed structure.

Cell and atoms:
Unit cell a=10.5381 b=10.5381 c=10.0874 alpha=90.00 beta=90.00 gamma=90.00
Positions (direct):
Sn: 0.0000 0.0000 0.1607
Sn: 0.0000 0.0000 0.8393
Sn: 0.0248 0.2827 0.3013
Sn: 0.0248 0.2827 0.6987
Sn: 0.1026 0.8974 0.5000
Sn: 0.1797 0.8203 0.0000
Sn: 0.1830 0.1830 0.0000
Sn: 0.2173 0.5248 0.1987
Sn: 0.2173 0.5248 0.8013
Sn: 0.2827 0.0248 0.3013
Sn: 0.2827 0.0248 0.6987
Sn: 0.3170 0.6830 0.5000
Sn: 0.3203 0.3203 0.5000
Sn: 0.3974 0.3974 0.0000
Sn: 0.4752 0.7827 0.1987
Sn: 0.4752 0.7827 0.8013
Sn: 0.5000 0.5000 0.3393
Sn: 0.5000 0.5000 0.6607
Sn: 0.5248 0.2173 0.1987
Sn: 0.5248 0.2173 0.8013
Sn: 0.6026 0.6026 0.0000
Sn: 0.6797 0.6797 0.5000
Sn: 0.6830 0.3170 0.5000
Sn: 0.7173 0.9752 0.3013
Sn: 0.7173 0.9752 0.6987
Sn: 0.7827 0.4752 0.1987
Sn: 0.7827 0.4752 0.8013
Sn: 0.8170 0.8170 0.0000
Sn: 0.8203 0.1797 0.0000
Sn: 0.8974 0.1026 0.5000
Sn: 0.9752 0.7173 0.3013
Sn: 0.9752 0.7173 0.6987
Te: 0.0000 0.5000 0.0000
Te: 0.0000 0.5000 0.5000
Te: 0.5000 0.0000 0.0000
Te: 0.5000 0.0000 0.5000
Ir: 0.2271 0.7729 0.2568
Ir: 0.2271 0.7729 0.7432
Ir: 0.2729 0.2729 0.2432
Ir: 0.2729 0.2729 0.7568
Ir: 0.7271 0.7271 0.2432
Ir: 0.7271 0.7271 0.7568
Ir: 0.7729 0.2271 0.2568
Ir: 0.7729 0.2271 0.7432

The 8 most intense peaks (2θ from 5° to 70°), in order of rising 2θ:
two_theta	I/Imax
24.4	49.0
32.2	70.4
32.7	100.0
34.0	71.4
35.6	43.5
38.6	75.9
39.6	72.9
42.3	38.2

---

This entry pairs a crystal structure of Tm2Sn2Ir with its simulated PXRD pattern. Radiation: Cu Kα (λ = 1.5418 Å). Structure: a GGA-PBE-relaxed structure.

Cell and atoms:
Unit cell a=5.8359 b=5.8359 c=10.8628 alpha=113.69 beta=113.69 gamma=44.88
Positions (direct):
Tm: 0.0041 0.0041 0.1734
Tm: 0.1849 0.1849 0.6302
Tm: 0.8151 0.8151 0.3698
Tm: 0.9959 0.9959 0.8266
Sn: 0.3458 0.3458 0.9534
Sn: 0.4645 0.4645 0.6141
Sn: 0.5355 0.5355 0.3859
Sn: 0.6542 0.6542 0.0466
Ir: 0.2776 0.2776 0.1774
Ir: 0.7224 0.7224 0.8226

The 8 most intense peaks (2θ from 5° to 70°), in order of rising 2θ:
two_theta	I/Imax
31.1	100.0
32.0	90.1
32.1	33.0
33.3	43.9
35.6	52.1
38.6	95.2
40.5	77.2
40.7	33.7

---

This entry pairs a crystal structure of Sr3Ir with its simulated PXRD pattern. Radiation: Cu Kα (λ = 1.5418 Å). Structure: a GGA-PBE-relaxed structure.

Cell and atoms:
Unit cell a=7.4833 b=7.4833 c=20.9944 alpha=90.00 beta=90.00 gamma=120.00
Positions (direct):
Sr: 0.0003 0.3479 0.4223
Sr: 0.0003 0.6524 0.5777
Sr: 0.3326 0.0137 0.7563
Sr: 0.3326 0.3189 0.2437
Sr: 0.3339 0.0118 0.0890
Sr: 0.3339 0.3221 0.9110
Sr: 0.3476 0.9997 0.4223
Sr: 0.3476 0.3479 0.5777
Sr: 0.6521 0.9997 0.5777
Sr: 0.6521 0.6524 0.4223
Sr: 0.6779 0.0118 0.9110
Sr: 0.6779 0.6661 0.0890
Sr: 0.6811 0.0137 0.2437
Sr: 0.6811 0.6674 0.7563
Sr: 0.9863 0.3189 0.7563
Sr: 0.9863 0.6674 0.2437
Sr: 0.9882 0.3221 0.0890
Sr: 0.9882 0.6661 0.9110
Ir: 0.0000 0.0000 0.1659
Ir: 0.0000 0.0000 0.8341
Ir: 0.3333 0.6667 0.5000
Ir: 0.6667 0.3333 0.1663
Ir: 0.6667 0.3333 0.5000
Ir: 0.6667 0.3333 0.8337

The 8 most intense peaks (2θ from 5° to 70°), in order of rising 2θ:
two_theta	I/Imax
12.6	55.4
14.3	19.9
27.0	100.0
35.1	63.6
41.8	38.1
45.8	29.1
50.5	17.4
55.7	17.2

---

This entry pairs a crystal structure of SrIr4 with its simulated PXRD pattern. Radiation: Cu Kα (λ = 1.5418 Å). Structure: a GGA-PBE-relaxed structure.

Cell and atoms:
Unit cell a=6.2053 b=6.2053 c=6.2053 alpha=140.35 beta=140.35 gamma=57.32
Positions (direct):
Sr: 0.0000 0.0000 0.0000
Ir: 0.2500 0.7500 0.5000
Ir: 0.3908 0.3908 0.0000
Ir: 0.6092 0.6092 0.0000
Ir: 0.7500 0.2500 0.5000

The 8 most intense peaks (2θ from 5° to 70°), in order of rising 2θ:
two_theta	I/Imax
16.3	23.7
22.6	40.1
32.6	27.7
34.3	100.0
43.0	65.8
45.1	65.8
47.0	29.0
62.4	22.0

---

This entry pairs a crystal structure of Sr6TlIr3 with its simulated PXRD pattern. Radiation: Cu Kα (λ = 1.5418 Å). Structure: a GGA-PBE-relaxed structure.

Cell and atoms:
Unit cell a=8.5242 b=8.5242 c=8.5242 alpha=113.95 beta=113.95 gamma=100.84
Positions (direct):
Sr: 0.1664 0.5000 0.6664
Sr: 0.2297 0.2297 0.0000
Sr: 0.5000 0.1664 0.6664
Sr: 0.5000 0.8336 0.3336
Sr: 0.7703 0.7703 0.0000
Sr: 0.8336 0.5000 0.3336
Tl: 0.5000 0.5000 0.0000
Ir: 0.0000 0.0000 0.0000
Ir: 0.2500 0.7500 0.5000
Ir: 0.7500 0.2500 0.5000

The 8 most intense peaks (2θ from 5° to 70°), in order of rising 2θ:
two_theta	I/Imax
19.1	100.0
21.2	24.9
27.1	23.6
33.0	19.9
34.7	39.8
38.4	33.1
38.8	16.8
44.6	19.2

---

This entry pairs a crystal structure of Tb5Ir2 with its simulated PXRD pattern. Radiation: Cu Kα (λ = 1.5418 Å). Structure: a GGA-PBE-relaxed structure.

Cell and atoms:
Unit cell a=8.5900 b=8.5900 c=7.1990 alpha=96.50 beta=96.50 gamma=44.40
Positions (direct):
Tb: 0.0702 0.9298 0.7500
Tb: 0.1524 0.2867 0.3159
Tb: 0.2867 0.1524 0.8159
Tb: 0.2924 0.5227 0.0809
Tb: 0.4773 0.7076 0.4191
Tb: 0.5227 0.2924 0.5809
Tb: 0.7076 0.4773 0.9191
Tb: 0.7133 0.8476 0.1841
Tb: 0.8476 0.7133 0.6841
Tb: 0.9298 0.0702 0.2500
Ir: 0.1025 0.6760 0.4262
Ir: 0.3240 0.8975 0.0738
Ir: 0.6760 0.1025 0.9262
Ir: 0.8975 0.3240 0.5738

The 8 most intense peaks (2θ from 5° to 70°), in order of rising 2θ:
two_theta	I/Imax
19.8	65.1
30.2	49.6
31.5	71.7
31.7	80.9
32.9	50.1
35.3	56.0
35.9	100.0
40.0	86.3

---

This entry pairs a crystal structure of Tb4Tl5Ir2 with its simulated PXRD pattern. Radiation: Cu Kα (λ = 1.5418 Å). Structure: a GGA-PBE-relaxed structure.

Cell and atoms:
Unit cell a=7.9713 b=3.6374 c=9.7455 alpha=90.00 beta=94.06 gamma=90.00
Positions (direct):
Tb: 0.1879 0.0000 0.3405
Tb: 0.2072 0.0000 0.9351
Tb: 0.7928 0.0000 0.0649
Tb: 0.8121 0.0000 0.6595
Tl: 0.1544 0.5000 0.6373
Tl: 0.4600 0.5000 0.1652
Tl: 0.5000 0.5000 0.5000
Tl: 0.5400 0.5000 0.8348
Tl: 0.8456 0.5000 0.3627
Ir: 0.0786 0.5000 0.1368
Ir: 0.9214 0.5000 0.8632

The 8 most intense peaks (2θ from 5° to 70°), in order of rising 2θ:
two_theta	I/Imax
32.3	73.2
33.2	100.0
33.4	87.1
33.8	63.7
34.4	72.9
37.0	53.1
37.2	53.1
37.5	69.0